Structure and theoretical powder XRD pattern of Ta2Ti3Tc (a structure optimized by DFT (PBE); Cu Kα).

Principal peaks in the range 2θ from 5° to 70°, sorted by position:
| 2θ/deg | d [Å] | Rel. int. | (hkl) |
| --- | --- | --- | --- |
| 11.1 | 8.000 | 77.9 | 0 0 1 |
| 23.2 | 3.827 | 70.5 | 1 0 1 |
| 32.5 | 2.757 | 78.5 | 0 2 0 |
| 38.4 | 2.342 | 49.0 | 2 0 0 |
| 38.6 | 2.333 | 38.1 | 2 0 -1 |
| 39.7 | 2.270 | 37.8 | 0 2 2 |
| 40.1 | 2.248 | 93.2 | 1 1 -3 |
| 40.3 | 2.237 | 100.0 | 1 2 1 |
| 41.1 | 2.196 | 35.5 | 1 0 3 |
| 48.4 | 1.880 | 36.5 | 0 1 4 |

Structure:
Cell: 4.726 5.514 8.071 Å, 90.00 97.62 90.00°
Space group P2_1/m (No. 11)
Inequivalent atoms, fractional coordinates:
Ta 0.201 0.250 0.441 x2
Ta 0.219 0.750 0.339 x2
Ti 0.142 0.250 0.078 x2
Ti 0.299 0.510 0.743 x4
Tc 0.368 0.750 0.030 x2

Structure and theoretical powder XRD pattern of Ta14TiTc (a structure optimized by DFT (PBE); Cu Kα).

Principal peaks in the range 2θ from 5° to 70°, sorted by position:
| 2θ/deg | d [Å] | Rel. int. | (hkl) |
| --- | --- | --- | --- |
| 9.5 | 9.295 | 2.5 | 0 0 1 |
| 19.1 | 4.655 | 1.1 | 0 2 0 |
| 21.4 | 4.159 | 0.9 | 0 2 1 |
| 34.6 | 2.595 | 1.2 | 2 2 1 |
| 38.5 | 2.336 | 100.0 | 2 2 2 |
| 38.7 | 2.324 | 49.2 | 0 4 0 |
| 55.3 | 1.660 | 8.8 | 4 0 0 |
| 55.9 | 1.644 | 16.9 | 0 4 4 |
| 69.6 | 1.351 | 17.6 | 4 4 0 |
| 70.0 | 1.345 | 17.3 | 2 6 2 |

Structure:
Cell: 6.640 9.301 9.295 Å, 90.00 90.00 90.00°
Space group Cmmm (No. 65)
Inequivalent atoms, fractional coordinates:
Ta 0.000 0.000 0.000 x2
Ta 0.000 0.244 0.251 x8
Ta 0.000 0.500 0.000 x2
Ta 0.242 0.500 0.258 x8
Ta 0.250 0.250 0.000 x4
Ta 0.250 0.250 0.500 x4
Ti 0.000 0.000 0.500 x2
Tc 0.000 0.500 0.500 x2

Structure and theoretical powder XRD pattern of Ta3TiTc2 (a structure optimized by DFT (PBE); Cu Kα).

Principal peaks in the range 2θ from 5° to 70°, sorted by position:
| 2θ/deg | d [Å] | Rel. int. | (hkl) |
| --- | --- | --- | --- |
| 9.0 | 9.829 | 8.4 | 0 0 1 |
| 27.2 | 3.276 | 8.4 | 0 0 3 |
| 28.0 | 3.183 | 16.5 | 1 0 0 |
| 39.5 | 2.283 | 100.0 | 1 0 3 |
| 40.1 | 2.251 | 49.1 | 1 1 0 |
| 49.1 | 1.855 | 7.3 | 1 1 3 |
| 56.1 | 1.638 | 8.3 | 0 0 6 |
| 57.9 | 1.592 | 16.6 | 2 0 0 |
| 65.2 | 1.432 | 3.2 | 2 0 3 |
| 65.6 | 1.424 | 3.4 | 2 1 0 |

Structure:
Cell: 3.183 3.183 9.829 Å, 90.00 90.00 90.00°
Space group P4/mmm (No. 123)
Inequivalent atoms, fractional coordinates:
Ta 0.000 0.000 0.000 x1
Ta 0.000 0.000 0.322 x2
Ti 0.500 0.500 0.500 x1
Tc 0.500 0.500 0.163 x2

Structure and theoretical powder XRD pattern of TaV3Tc (a structure optimized by DFT (PBE); Cu Kα).

Principal peaks in the range 2θ from 5° to 70°, sorted by position:
| 2θ/deg | d [Å] | Rel. int. | (hkl) |
| --- | --- | --- | --- |
| 17.2 | 5.162 | 32.1 | 1 0 0 |
| 23.3 | 3.815 | 20.9 | 1 0 1 |
| 29.1 | 3.067 | 30.8 | 1 1 -1 |
| 34.9 | 2.571 | 25.3 | 0 2 0 |
| 36.2 | 2.485 | 77.4 | 0 1 2 |
| 38.3 | 2.350 | 52.2 | 2 0 -1 |
| 39.1 | 2.303 | 53.5 | 1 2 0 |
| 40.3 | 2.238 | 69.8 | 1 1 2 |
| 42.3 | 2.135 | 100.0 | 2 1 1 |
| 66.2 | 1.411 | 16.0 | 1 3 2 |

Structure:
Cell: 5.162 5.142 5.674 Å, 90.00 90.08 90.00°
Space group P2_1/m (No. 11)
Inequivalent atoms, fractional coordinates:
Ta 0.133 0.250 0.362 x2
V 0.357 0.003 0.821 x4
V 0.368 0.750 0.449 x2
Tc 0.080 0.750 0.106 x2

Structure and theoretical powder XRD pattern of Ta4VTc5 (a structure optimized by DFT (PBE); Cu Kα).

Principal peaks in the range 2θ from 5° to 70°, sorted by position:
| 2θ/deg | d [Å] | Rel. int. | (hkl) |
| --- | --- | --- | --- |
| 5.6 | 15.785 | 9.9 | 0 0 1 |
| 11.2 | 7.892 | 2.6 | 0 0 2 |
| 28.2 | 3.160 | 5.3 | 1 0 0 |
| 28.8 | 3.099 | 1.5 | 1 0 1 |
| 33.1 | 2.710 | 1.6 | 1 0 3 |
| 36.4 | 2.467 | 2.5 | 1 0 4 |
| 40.4 | 2.234 | 100.0 | 1 1 0 |
| 50.0 | 1.824 | 1.6 | 1 1 5 |
| 58.4 | 1.580 | 16.6 | 2 0 0 |
| 66.1 | 1.413 | 2.2 | 2 1 0 |

Structure:
Cell: 3.161 3.161 15.785 Å, 90.00 90.00 90.00°
Space group P4/mmm (No. 123)
Inequivalent atoms, fractional coordinates:
Ta 0.000 0.000 0.102 x2
Ta 0.000 0.000 0.305 x2
V 0.000 0.000 0.500 x1
Tc 0.500 0.500 0.000 x1
Tc 0.500 0.500 0.203 x2
Tc 0.500 0.500 0.406 x2

Structure and theoretical powder XRD pattern of TaTcW2 (a structure optimized by DFT (PBE); Cu Kα).

Principal peaks in the range 2θ from 5° to 70°, sorted by position:
| 2θ/deg | d [Å] | Rel. int. | (hkl) |
| --- | --- | --- | --- |
| 13.8 | 6.398 | 3.0 | 0 0 1 |
| 27.9 | 3.199 | 0.7 | 0 0 2 |
| 28.0 | 3.185 | 1.2 | 1 0 0 |
| 31.4 | 2.851 | 2.1 | 1 0 1 |
| 40.0 | 2.255 | 100.0 | 1 1 0 |
| 42.6 | 2.124 | 0.9 | 1 1 1 |
| 49.5 | 1.841 | 0.6 | 1 1 2 |
| 57.6 | 1.599 | 5.7 | 0 0 4 |
| 57.9 | 1.592 | 11.4 | 2 0 0 |
| 67.4 | 1.390 | 0.5 | 2 1 1 |

Structure:
Cell: 3.185 3.185 6.398 Å, 90.00 90.00 90.00°
Space group P4mm (No. 99)
Inequivalent atoms, fractional coordinates:
Ta 0.000 0.000 0.000 x1
Tc 0.500 0.500 0.249 x1
W 0.000 0.000 0.497 x1
W 0.500 0.500 0.740 x1

Structure and theoretical powder XRD pattern of Ta4TcW2 (a structure optimized by DFT (PBE); Cu Kα).

Principal peaks in the range 2θ from 5° to 70°, sorted by position:
| 2θ/deg | d [Å] | Rel. int. | (hkl) |
| --- | --- | --- | --- |
| 19.7 | 4.506 | 12.8 | 1 1 0 |
| 28.0 | 3.184 | 5.8 | 2 0 0 |
| 34.5 | 2.599 | 6.4 | 1 1 2 |
| 40.0 | 2.252 | 100.0 | 2 2 0 |
| 45.0 | 2.015 | 2.7 | 3 1 0 |
| 49.6 | 1.838 | 1.7 | 2 2 2 |
| 53.9 | 1.702 | 3.7 | 3 1 2 |
| 57.9 | 1.593 | 11.5 | 4 0 0 |
| 58.0 | 1.590 | 5.7 | 0 0 4 |
| 65.5 | 1.425 | 1.5 | 4 2 0 |

Structure:
Cell: 6.374 6.374 6.358 Å, 90.00 90.00 90.00°
Space group I4/mmm (No. 139)
Inequivalent atoms, fractional coordinates:
Ta 0.250 0.250 0.250 x8
Tc 0.000 0.000 0.000 x2
W 0.000 0.500 0.000 x4

Structure and theoretical powder XRD pattern of TaZn2Tc (a structure optimized by DFT (PBE); Cu Kα).

Principal peaks in the range 2θ from 5° to 70°, sorted by position:
| 2θ/deg | d [Å] | Rel. int. | (hkl) |
| --- | --- | --- | --- |
| 21.0 | 4.232 | 13.0 | 0 0 2 |
| 25.7 | 3.460 | 9.8 | 1 0 1 |
| 33.4 | 2.681 | 8.0 | 1 1 0 |
| 39.8 | 2.265 | 100.0 | 1 1 2 |
| 42.7 | 2.116 | 19.7 | 0 0 4 |
| 48.0 | 1.896 | 28.1 | 2 0 0 |
| 52.9 | 1.730 | 4.6 | 2 0 2 |
| 55.3 | 1.661 | 6.7 | 1 1 4 |
| 64.1 | 1.453 | 1.8 | 2 1 3 |
| 66.2 | 1.412 | 21.5 | 2 0 4 |

Structure:
Cell: 3.791 3.791 8.464 Å, 90.00 90.00 90.00°
Space group I4/mmm (No. 139)
Inequivalent atoms, fractional coordinates:
Ta 0.000 0.000 0.000 x2
Zn 0.000 0.500 0.250 x4
Tc 0.000 0.000 0.500 x2

Structure and theoretical powder XRD pattern of TaTe4 (a structure optimized by DFT (PBE); Cu Kα).

Principal peaks in the range 2θ from 5° to 70°, sorted by position:
| 2θ/deg | d [Å] | Rel. int. | (hkl) |
| --- | --- | --- | --- |
| 13.3 | 6.634 | 81.7 | 1 0 0 |
| 25.7 | 3.462 | 17.7 | 0 0 2 |
| 32.1 | 2.786 | 38.6 | 1 1 2 |
| 32.8 | 2.727 | 100.0 | 2 1 1 |
| 37.6 | 2.395 | 37.0 | 2 0 2 |
| 40.0 | 2.253 | 28.1 | 2 1 2 |
| 43.1 | 2.098 | 31.5 | 3 1 0 |
| 50.1 | 1.822 | 30.2 | 2 1 3 |
| 62.1 | 1.496 | 13.8 | 4 0 2 |
| 65.5 | 1.425 | 18.1 | 3 3 2 |

Structure:
Cell: 6.634 6.634 6.924 Å, 90.00 90.00 90.00°
Space group P4/mcc (No. 124)
Inequivalent atoms, fractional coordinates:
Ta 0.000 0.000 0.250 x2
Te 0.140 0.321 0.000 x8

Structure and theoretical powder XRD pattern of Ta3Te (a structure optimized by DFT (PBE); Cu Kα).

Principal peaks in the range 2θ from 5° to 70°, sorted by position:
| 2θ/deg | d [Å] | Rel. int. | (hkl) |
| --- | --- | --- | --- |
| 33.8 | 2.656 | 63.4 | 1 0 -1 |
| 34.6 | 2.593 | 14.4 | 1 1 0 |
| 37.2 | 2.419 | 57.8 | 0 2 0 |
| 38.7 | 2.326 | 96.5 | 1 1 1 |
| 38.9 | 2.316 | 100.0 | 0 1 2 |
| 51.1 | 1.788 | 39.7 | 1 2 -1 |
| 63.6 | 1.463 | 15.2 | 2 1 0 |
| 63.9 | 1.456 | 17.6 | 1 1 -3 |
| 68.0 | 1.378 | 18.6 | 1 3 1 |
| 68.2 | 1.376 | 19.4 | 0 3 2 |

Structure:
Cell: 3.071 4.838 5.276 Å, 90.00 90.07 90.00°
Space group P2/m (No. 10)
Inequivalent atoms, fractional coordinates:
Ta 0.000 0.000 0.000 x1
Ta 0.322 0.500 0.234 x2
Te 0.500 0.000 0.500 x1

Structure and theoretical powder XRD pattern of Ta5Te3 (a structure optimized by DFT (PBE); Cu Kα).

Principal peaks in the range 2θ from 5° to 70°, sorted by position:
| 2θ/deg | d [Å] | Rel. int. | (hkl) |
| --- | --- | --- | --- |
| 32.2 | 2.776 | 68.8 | 2 0 2 |
| 34.3 | 2.611 | 77.3 | 2 -1 1 |
| 35.7 | 2.517 | 100.0 | 2 2 2 |
| 36.1 | 2.487 | 61.7 | 2 1 -1 |
| 36.5 | 2.460 | 96.6 | 1 3 0 |
| 37.4 | 2.406 | 46.9 | 0 3 0 |
| 37.7 | 2.388 | 46.0 | 1 -2 2 |
| 39.0 | 2.311 | 58.7 | 1 -1 3 |
| 39.5 | 2.280 | 58.6 | 0 3 1 |
| 39.7 | 2.268 | 84.8 | 0 1 3 |

Structure:
Cell: 6.496 7.509 7.646 Å, 84.64 69.66 74.06°
Space group P1 (No. 1)
Inequivalent atoms, fractional coordinates:
Ta 0.000 0.000 0.000 x1
Ta 0.012 0.478 0.535 x1
Ta 0.112 0.187 0.295 x1
Ta 0.320 0.833 0.534 x1
Ta 0.346 0.519 0.117 x1
Ta 0.494 0.841 0.155 x1
Ta 0.577 0.408 0.673 x1
Ta 0.632 0.139 0.315 x1
Ta 0.829 0.380 0.947 x1
Ta 0.870 0.068 0.643 x1
Te 0.011 0.820 0.338 x1
Te 0.104 0.630 0.866 x1
Te 0.260 0.175 0.673 x1
Te 0.515 0.167 0.981 x1
Te 0.616 0.758 0.760 x1
Te 0.694 0.517 0.311 x1

Structure and theoretical powder XRD pattern of Ta7Te (a structure optimized by DFT (PBE); Cu Kα).

Principal peaks in the range 2θ from 5° to 70°, sorted by position:
| 2θ/deg | d [Å] | Rel. int. | (hkl) |
| --- | --- | --- | --- |
| 18.2 | 4.875 | 0.8 | 1 1 1 |
| 35.3 | 2.546 | 0.5 | 3 1 1 |
| 36.9 | 2.438 | 100.0 | 2 2 2 |
| 42.8 | 2.111 | 49.5 | 4 0 0 |
| 62.2 | 1.493 | 33.1 | 4 4 0 |

Structure:
Cell: 8.444 8.444 8.444 Å, 90.00 90.00 90.00°
Space group Fm-3m (No. 225)
Inequivalent atoms, fractional coordinates:
Ta 0.000 0.000 0.000 x4
Ta 0.000 0.250 0.250 x24
Te 0.000 0.000 0.500 x4

Structure and theoretical powder XRD pattern of TaTe2 (a structure optimized by DFT (PBE); Cu Kα).

Principal peaks in the range 2θ from 5° to 70°, sorted by position:
| 2θ/deg | d [Å] | Rel. int. | (hkl) |
| --- | --- | --- | --- |
| 12.6 | 7.020 | 81.6 | 2 0 -1 |
| 30.2 | 2.963 | 45.4 | 0 0 3 |
| 30.9 | 2.892 | 100.0 | 3 3 0 |
| 37.5 | 2.399 | 13.2 | 2 0 -4 |
| 38.0 | 2.367 | 48.5 | 3 3 -3 |
| 38.3 | 2.351 | 22.2 | 5 3 -1 |
| 48.1 | 1.890 | 26.8 | 5 3 -4 |
| 48.9 | 1.863 | 19.5 | 3 3 3 |
| 50.0 | 1.825 | 15.1 | 0 6 0 |
| 59.5 | 1.554 | 11.4 | 0 6 3 |

Structure:
Cell: 15.401 10.953 9.626 Å, 90.00 112.56 90.00°
Space group C2/m (No. 12)
Inequivalent atoms, fractional coordinates:
Ta 0.000 0.000 0.000 x2
Ta 0.000 0.305 0.000 x4
Ta 0.137 0.500 0.288 x4
Ta 0.140 0.161 0.287 x8
Te 0.008 0.000 0.306 x4
Te 0.009 0.329 0.305 x8
Te 0.133 0.500 0.011 x4
Te 0.151 0.162 0.014 x8
Te 0.205 0.500 0.617 x4
Te 0.209 0.166 0.618 x8

Structure and theoretical powder XRD pattern of TaTe8 (a structure optimized by DFT (PBE); Cu Kα).

Principal peaks in the range 2θ from 5° to 70°, sorted by position:
| 2θ/deg | d [Å] | Rel. int. | (hkl) |
| --- | --- | --- | --- |
| 11.1 | 7.946 | 69.3 | 1 1 0 |
| 30.3 | 2.952 | 100.0 | 3 0 1 |
| 33.8 | 2.649 | 19.4 | 3 3 0 |
| 37.5 | 2.397 | 22.9 | 0 0 2 |
| 38.0 | 2.369 | 54.6 | 4 1 1 |
| 45.7 | 1.987 | 19.1 | 4 4 0 |
| 51.4 | 1.777 | 17.2 | 3 3 2 |
| 60.5 | 1.529 | 15.9 | 4 4 2 |
| 63.3 | 1.470 | 12.4 | 3 0 3 |
| 68.0 | 1.378 | 10.0 | 4 1 3 |

Structure:
Cell: 11.238 11.238 4.793 Å, 90.00 90.00 90.00°
Space group I4/mmm (No. 139)
Inequivalent atoms, fractional coordinates:
Ta 0.000 0.000 0.000 x2
Te 0.000 0.253 0.000 x8
Te 0.151 0.151 0.500 x8